Calculated X-ray diffraction stick pattern of KIn6Pd2 for Cu Kα, from a GGA-PBE-relaxed structure.
Intensities are scaled so that the largest is 100.

The 10 most intense peaks (2θ = 10–90°), by angle:
| d_spacing | Position (°2θ) | I_rel |
| --- | --- | --- |
| 7.662 | 11.55 | 46 |
| 4.692 | 18.91 | 22 |
| 4.002 | 22.22 | 31 |
| 3.318 | 26.87 | 40 |
| 2.709 | 33.07 | 20 |
| 2.554 | 35.14 | 18 |
| 2.346 | 38.37 | 100 |
| 1.858 | 49.02 | 18 |
| 1.728 | 53.00 | 25 |
| 1.355 | 69.38 | 20 |

Structure:
Cell lengths 13.2718, 13.2718, 13.2718 Å; angles 90.00, 90.00, 90.00 degrees
Space group Fd-3m (No. 227, origin choice 2)
Inequivalent atoms, fractional coordinates:
K 0.1250 0.1250 0.1250
In 0.0972 0.3750 0.8750
Pd 0.0000 0.0000 0.5000

Calculated X-ray diffraction stick pattern of KIn2Pd4 for Cu Kα, from a GGA-PBE-relaxed structure.
Intensities are scaled so that the largest is 100.

The 10 most intense peaks (2θ = 10–90°), by angle:
| d_spacing | Position (°2θ) | I_rel |
| --- | --- | --- |
| 5.935 | 14.93 | 46 |
| 4.196 | 21.17 | 10 |
| 2.654 | 33.77 | 54 |
| 2.237 | 40.32 | 100 |
| 2.098 | 43.11 | 22 |
| 1.978 | 45.87 | 20 |
| 1.786 | 51.13 | 11 |
| 1.644 | 55.94 | 12 |
| 1.360 | 69.05 | 30 |
| 1.186 | 81.05 | 9 |

Structure:
```
data_KIn2Pd4
_cell_length_a 8.3932
_cell_length_b 8.3932
_cell_length_c 8.3580
_cell_angle_alpha 90.00
_cell_angle_beta 90.00
_cell_angle_gamma 90.00
_space_group_name_H-M_alt 'I 4/m c m'
_space_group_IT_number 140
_space_group_name_Hall '-I 4 2c'
loop_
_atom_site_label
_atom_site_fract_x
_atom_site_fract_y
_atom_site_fract_z
K1 0.0000 0.0000 0.2500
In1 0.1528 0.3472 0.0000
Pd1 0.1441 0.3559 0.3356
```

Calculated X-ray diffraction stick pattern of KIn6Pd for Cu Kα, from a GGA-PBE-relaxed structure.
Intensities are scaled so that the largest is 100.

The 10 most intense peaks (2θ = 10–90°), by angle:
| d_spacing | Position (°2θ) | I_rel |
| --- | --- | --- |
| 4.303 | 20.64 | 37 |
| 3.373 | 26.43 | 25 |
| 3.216 | 27.74 | 44 |
| 2.767 | 32.35 | 22 |
| 2.420 | 37.15 | 72 |
| 2.312 | 38.96 | 100 |
| 2.115 | 42.76 | 15 |
| 1.711 | 53.56 | 24 |
| 1.375 | 68.19 | 37 |
| 1.316 | 71.74 | 17 |

Structure:
```
data_KIn6Pd
_cell_length_a 4.8396
_cell_length_b 4.8396
_cell_length_c 9.4051
_cell_angle_alpha 90.00
_cell_angle_beta 90.00
_cell_angle_gamma 90.00
_space_group_name_H-M_alt 'P 4/m m m'
_space_group_IT_number 123
_space_group_name_Hall '-P 4 2'
loop_
_atom_site_label
_atom_site_fract_x
_atom_site_fract_y
_atom_site_fract_z
K1 0.0000 0.0000 0.0000
In1 0.0000 0.5000 0.3392
In2 0.5000 0.5000 0.1515
Pd1 0.0000 0.0000 0.5000
```

Calculated X-ray diffraction stick pattern of KIn6Pd3 for Cu Kα, from a GGA-PBE-relaxed structure.
Intensities are scaled so that the largest is 100.

The 10 most intense peaks (2θ = 10–90°), by angle:
| d_spacing | Position (°2θ) | I_rel |
| --- | --- | --- |
| 7.959 | 11.12 | 41 |
| 5.071 | 17.49 | 31 |
| 3.192 | 27.95 | 40 |
| 2.993 | 29.85 | 31 |
| 2.548 | 35.22 | 23 |
| 2.419 | 37.17 | 50 |
| 2.323 | 38.77 | 81 |
| 2.307 | 39.04 | 100 |
| 2.270 | 39.70 | 70 |
| 1.655 | 55.51 | 34 |

Structure:
```
data_KIn6Pd3
_cell_length_a 10.1725
_cell_length_b 4.5409
_cell_length_c 10.9024
_cell_angle_alpha 90.00
_cell_angle_beta 98.37
_cell_angle_gamma 90.00
_space_group_name_H-M_alt 'P 1 21/m 1'
_space_group_IT_number 11
loop_
_space_group_symop_operation_xyz
'x,y,z'
'-x,-y,-z'
'-x,y+1/2,-z'
'x,-y+1/2,z'
loop_
_atom_site_label
_atom_site_fract_x
_atom_site_fract_y
_atom_site_fract_z
K1 0.2077 0.2500 0.0714
In1 0.0767 0.7500 0.8024
In2 0.1043 0.2500 0.4617
In3 0.2540 0.2500 0.7254
In4 0.3081 0.7500 0.3557
In5 0.4547 0.7500 0.6589
In6 0.4766 0.7500 0.1080
Pd1 0.0275 0.7500 0.3206
Pd2 0.3498 0.7500 0.8692
Pd3 0.3809 0.2500 0.5112
```

Calculated X-ray diffraction stick pattern of K2InSb3Pd4 for Cu Kα, from a GGA-PBE-relaxed structure.
Intensities are scaled so that the largest is 100.

The 10 most intense peaks (2θ = 10–90°), by angle:
| d_spacing | Position (°2θ) | I_rel |
| --- | --- | --- |
| 5.405 | 16.40 | 58 |
| 4.339 | 20.47 | 57 |
| 2.868 | 31.19 | 58 |
| 2.848 | 31.42 | 97 |
| 2.369 | 37.98 | 100 |
| 2.103 | 43.00 | 99 |
| 1.826 | 49.93 | 30 |
| 1.675 | 54.80 | 34 |
| 1.444 | 64.55 | 23 |
| 1.310 | 72.08 | 42 |

Structure:
```
data_K2InSb3Pd4
_cell_length_a 4.7379
_cell_length_b 4.7379
_cell_length_c 10.8095
_cell_angle_alpha 90.00
_cell_angle_beta 90.00
_cell_angle_gamma 90.00
_space_group_name_H-M_alt 'P -4 m 2'
_space_group_IT_number 115
loop_
_space_group_symop_operation_xyz
'x,y,z'
'y,-x,-z'
'-x,-y,z'
'-y,x,-z'
'-x,y,z'
'-y,-x,-z'
'x,-y,z'
'y,x,-z'
loop_
_atom_site_label
_atom_site_fract_x
_atom_site_fract_y
_atom_site_fract_z
K1 0.0000 0.5000 0.2447
In1 0.0000 0.0000 0.5000
Sb1 0.0000 0.5000 0.8797
Sb2 0.5000 0.5000 0.5000
Pd1 0.0000 0.0000 0.0000
Pd2 0.0000 0.5000 0.6291
Pd3 0.5000 0.5000 0.0000
```

Calculated X-ray diffraction stick pattern of KPmIn6 for Cu Kα, from a GGA-PBE-relaxed structure.
Intensities are scaled so that the largest is 100.

The 10 most intense peaks (2θ = 10–90°), by angle:
| d_spacing | Position (°2θ) | I_rel |
| --- | --- | --- |
| 3.019 | 29.59 | 31 |
| 2.781 | 32.19 | 59 |
| 2.587 | 34.67 | 100 |
| 2.572 | 34.88 | 17 |
| 2.510 | 35.78 | 35 |
| 1.930 | 47.09 | 17 |
| 1.860 | 48.96 | 15 |
| 1.495 | 62.08 | 23 |
| 1.463 | 63.58 | 16 |
| 1.446 | 64.46 | 14 |

Structure:
```
data_KPmIn6
_cell_length_a 5.0192
_cell_length_b 6.7687
_cell_length_c 6.6810
_cell_angle_alpha 90.00
_cell_angle_beta 90.00
_cell_angle_gamma 90.00
_space_group_name_H-M_alt 'P m m 2'
_space_group_IT_number 25
loop_
_space_group_symop_operation_xyz
'x,y,z'
'-x,-y,z'
'-x,y,z'
'x,-y,z'
loop_
_atom_site_label
_atom_site_fract_x
_atom_site_fract_y
_atom_site_fract_z
K1 0.0000 0.0000 0.0000
Pm1 0.5000 0.5000 0.2334
In1 0.0000 0.2680 0.4681
In2 0.0000 0.5000 0.9038
In3 0.5000 0.0000 0.3521
In4 0.5000 0.2542 0.7587
```

Calculated X-ray diffraction stick pattern of K2PmInTe4 for Cu Kα, from a GGA-PBE-relaxed structure.
Intensities are scaled so that the largest is 100.

The 10 most intense peaks (2θ = 10–90°), by angle:
| d_spacing | Position (°2θ) | I_rel |
| --- | --- | --- |
| 7.714 | 11.47 | 24 |
| 7.574 | 11.68 | 23 |
| 3.344 | 26.66 | 54 |
| 3.293 | 27.08 | 100 |
| 2.361 | 38.12 | 17 |
| 2.346 | 38.36 | 75 |
| 2.297 | 39.22 | 18 |
| 1.929 | 47.13 | 18 |
| 1.894 | 48.05 | 20 |
| 1.491 | 62.27 | 15 |

Structure:
```
data_K2PmInTe4
_cell_length_a 9.1890
_cell_length_b 9.4421
_cell_length_c 13.3769
_cell_angle_alpha 90.00
_cell_angle_beta 90.00
_cell_angle_gamma 90.00
_space_group_name_H-M_alt 'I m m a'
_space_group_IT_number 74
_space_group_name_Hall '-I 2b 2'
loop_
_atom_site_label
_atom_site_fract_x
_atom_site_fract_y
_atom_site_fract_z
K1 0.0000 0.0000 0.0000
K2 0.2500 0.2500 0.2500
Pm1 0.0000 0.0000 0.5000
In1 0.2500 0.2500 0.7500
Te1 0.0000 0.0361 0.7402
Te2 0.2302 0.2500 0.5118
```

Calculated X-ray diffraction stick pattern of KInPt for Cu Kα, from a GGA-PBE-relaxed structure.
Intensities are scaled so that the largest is 100.

The 10 most intense peaks (2θ = 10–90°), by angle:
| d_spacing | Position (°2θ) | I_rel |
| --- | --- | --- |
| 7.757 | 11.41 | 86 |
| 5.833 | 15.19 | 100 |
| 2.798 | 31.99 | 25 |
| 2.783 | 32.16 | 53 |
| 2.674 | 33.52 | 53 |
| 2.444 | 36.78 | 58 |
| 2.269 | 39.72 | 36 |
| 2.201 | 41.00 | 36 |
| 2.195 | 41.13 | 81 |
| 1.362 | 68.97 | 22 |

Structure:
```
data_KInPt
_cell_length_a 3.1233
_cell_length_b 6.2945
_cell_length_c 8.5125
_cell_angle_alpha 68.36
_cell_angle_beta 79.43
_cell_angle_gamma 89.98
_space_group_name_H-M_alt 'P -1'
_space_group_IT_number 2
loop_
_space_group_symop_operation_xyz
'x,y,z'
'-x,-y,-z'
loop_
_atom_site_label
_atom_site_fract_x
_atom_site_fract_y
_atom_site_fract_z
K1 0.1928 0.1938 0.1124
In1 0.5000 0.2437 0.5000
Pt1 0.1091 0.6093 0.2818
```